Record 1
This entry pairs a crystal structure of AgPtCl3 with its theoretical powder X-ray diffraction pattern. Radiation: a wavelength of 1.5418 Å. Structure: a PBE-relaxed structure.
Lines closer than 0.1° are merged.

Structural model:
```
data_AgPtCl3
_chemical_formula_sum 'Ag6 Pt6 Cl18'
_space_group_name_H-M_alt 'R -3 c'
_space_group_IT_number 167
_space_group_name_Hall '-R 3 2"c'
_cell_length_a 6.6420
_cell_length_b 6.6420
_cell_length_c 16.9230
_cell_angle_alpha 90.00
_cell_angle_beta 90.00
_cell_angle_gamma 120.00
loop_
_atom_site_label
_atom_site_fract_x
_atom_site_fract_y
_atom_site_fract_z
_atom_site_occupancy
Ag1 0.0000 0.0000 0.2500 1
Pt1 0.0000 0.0000 0.0000 1
Cl1 0.0000 0.3895 0.2500 1
```

Principal peaks in the range 10 to 90 degrees two-theta, by angle:
2θ = 18.7°, I = 26, hkl 0 1 2; 2θ = 26.1°, I = 100, hkl 1 0 4; 2θ = 26.8°, I = 75, hkl 1 1 0; 2θ = 37.8°, I = 58, hkl 0 2 4; 2θ = 45.7°, I = 22, hkl 0 1 8; 2θ = 47.0°, I = 46, hkl 2 1 4; 2θ = 47.4°, I = 34, hkl 3 0 0; 2θ = 53.8°, I = 20, hkl 2 0 8; 2θ = 55.3°, I = 13, hkl 2 2 0; 2θ = 61.1°, I = 21, hkl 1 2 8; 2θ = 62.2°, I = 15, hkl 1 3 4; 2θ = 75.5°, I = 16, hkl 3 2 4

---

Record 2
This entry pairs a crystal structure of AgPtCl6 with its theoretical powder X-ray diffraction pattern. Radiation: a wavelength of 1.5418 Å. Structure: a PBE-relaxed structure.
Lines closer than 0.1° are merged.

Structural model:
```
data_AgPtCl6
_chemical_formula_sum 'Ag4 Pt4 Cl24'
_space_group_name_H-M_alt 'F -4 3 m'
_space_group_IT_number 216
_space_group_name_Hall 'F -4 2 3'
_cell_length_a 9.4119
_cell_length_b 9.4119
_cell_length_c 9.4119
_cell_angle_alpha 90.00
_cell_angle_beta 90.00
_cell_angle_gamma 90.00
loop_
_atom_site_label
_atom_site_fract_x
_atom_site_fract_y
_atom_site_fract_z
_atom_site_occupancy
Ag1 0.0000 0.0000 0.0000 1
Pt1 0.2500 0.2500 0.2500 1
Cl1 0.0037 0.2500 0.2500 1
```

Principal peaks in the range 10 to 90 degrees two-theta, by angle:
2θ = 16.3°, I = 100, hkl 1 1 1; 2θ = 18.9°, I = 25, hkl 2 0 0; 2θ = 26.8°, I = 48, hkl 2 2 0; 2θ = 31.5°, I = 58, hkl 3 1 1; 2θ = 38.3°, I = 47, hkl 4 0 0; 2θ = 41.8°, I = 26, hkl 3 3 1; 2θ = 47.3°, I = 22, hkl 4 2 2; 2θ = 50.4°, I = 22, hkl 5 1 1; 2θ = 55.2°, I = 30, hkl 4 4 0; 2θ = 58.0°, I = 22, hkl 5 3 1; 2θ = 71.6°, I = 12, hkl 5 5 1; 2θ = 78.0°, I = 13, hkl 5 5 3

---

Record 3
This entry pairs a crystal structure of Rb2PuAgCl6 with its theoretical powder X-ray diffraction pattern. Radiation: a wavelength of 1.5418 Å. Structure: a PBE-relaxed structure.
Lines closer than 0.1° are merged.

Structural model:
```
data_Rb2PuAgCl6
_chemical_formula_sum 'Rb4 Pu2 Ag2 Cl12'
_space_group_name_H-M_alt 'I 4/m'
_space_group_IT_number 87
_space_group_name_Hall '-I 4'
_cell_length_a 7.4423
_cell_length_b 7.4423
_cell_length_c 11.0160
_cell_angle_alpha 90.00
_cell_angle_beta 90.00
_cell_angle_gamma 90.00
loop_
_atom_site_label
_atom_site_fract_x
_atom_site_fract_y
_atom_site_fract_z
_atom_site_occupancy
Rb1 0.0000 0.5000 0.2500 1
Pu1 0.0000 0.0000 0.0000 1
Ag1 0.0000 0.0000 0.5000 1
Cl1 0.0000 0.0000 0.2458 1
Cl2 0.1865 0.6888 0.0000 1
```

Principal peaks in the range 10 to 90 degrees two-theta, by angle:
2θ = 14.4°, I = 24, hkl 1 0 1; 2θ = 16.1°, I = 21, hkl 0 0 2; 2θ = 16.8°, I = 30, hkl 1 1 0; 2θ = 23.4°, I = 100, hkl 1 1 2; 2θ = 23.9°, I = 64, hkl 2 0 0; 2θ = 32.5°, I = 33, hkl 0 0 4; 2θ = 34.1°, I = 47, hkl 2 2 0; 2θ = 40.8°, I = 32, hkl 2 0 4; 2θ = 41.7°, I = 61, hkl 3 1 2; 2θ = 47.8°, I = 35, hkl 2 2 4; 2θ = 55.2°, I = 18, hkl 2 4 0; 2θ = 65.5°, I = 23, hkl 2 4 4

---

Record 4
This entry pairs a crystal structure of ReAg2Cl6 with its theoretical powder X-ray diffraction pattern. Radiation: a wavelength of 1.5418 Å. Structure: a PBE-relaxed structure.
Lines closer than 0.1° are merged.

Structural model:
```
data_ReAg2Cl6
_chemical_formula_sum 'Re3 Ag6 Cl18'
_space_group_name_H-M_alt 'R -3'
_space_group_IT_number 148
_space_group_name_Hall '-R 3'
_cell_length_a 6.6360
_cell_length_b 6.6360
_cell_length_c 17.0441
_cell_angle_alpha 90.00
_cell_angle_beta 90.00
_cell_angle_gamma 120.00
loop_
_atom_site_label
_atom_site_fract_x
_atom_site_fract_y
_atom_site_fract_z
_atom_site_occupancy
Re1 0.0000 0.0000 0.0000 1
Ag1 0.0000 0.0000 0.2651 1
Cl1 0.0225 0.3975 0.7470 1
```

Principal peaks in the range 10 to 90 degrees two-theta, by angle:
2θ = 15.6°, I = 59, hkl 0 0 3; 2θ = 16.3°, I = 78, hkl 1 0 1; 2θ = 26.0°, I = 100, hkl 1 0 4; 2θ = 26.9°, I = 70, hkl 1 1 0; 2θ = 31.2°, I = 85, hkl 2 -1 3; 2θ = 37.8°, I = 68, hkl 0 2 4; 2θ = 40.2°, I = 22, hkl 1 0 7; 2θ = 47.0°, I = 48, hkl 3 -1 4; 2θ = 47.5°, I = 45, hkl 3 0 0; 2θ = 53.5°, I = 20, hkl 2 0 8; 2θ = 56.8°, I = 22, hkl 2 1 7; 2θ = 75.5°, I = 18, hkl 3 2 4